Entry 1:
Structure and computed powder XRD pattern of Bi4Au (a structure optimized by DFT (PBE); Cu Kα, 1.54184 Å).
Kinematic intensities with the Lorentz-polarization factor, no thermal factor.

Largest 6 diffraction maxima, sorted by position, 10° ≤ 2θ ≤ 80°:
d = 3.912 Å, I = 33
d = 3.194 Å, I = 100
d = 2.766 Å, I = 24
d = 2.538 Å, I = 49
d = 2.129 Å, I = 55
d = 1.956 Å, I = 44

Crystal structure
```
Bi4Au
1.0
0.0000 5.5321 5.5321
5.5321 0.0000 5.5321
5.5321 5.5321 0.0000
Bi Au
8 2
direct
0.1802 0.7733 0.7733 Bi
0.2267 0.2267 0.2267 Bi
0.2267 0.2267 0.8198 Bi
0.2267 0.8198 0.2267 Bi
0.7733 0.1802 0.7733 Bi
0.7733 0.7733 0.1802 Bi
0.7733 0.7733 0.7733 Bi
0.8198 0.2267 0.2267 Bi
0.3750 0.3750 0.3750 Au
0.6250 0.6250 0.6250 Au
```

Entry 2:
Structure and computed powder XRD pattern of Y2MoRh (a structure optimized by DFT (PBE); Cu Kα, 1.54184 Å).
Kinematic intensities with the Lorentz-polarization factor, no thermal factor.

Largest 6 diffraction maxima, sorted by position, 10° ≤ 2θ ≤ 80°:
d = 8.830 Å, I = 52
d = 2.584 Å, I = 100
d = 2.253 Å, I = 51
d = 2.162 Å, I = 39
d = 1.593 Å, I = 17
d = 1.356 Å, I = 25

Crystal structure
```
Y2MoRh
1.0
3.1866 0.0000 0.0000
0.0000 3.1866 0.0000
0.0000 0.0000 8.8301
Y Mo Rh
2 1 1
direct
0.0000 0.0000 0.0000 Y
0.5000 0.5000 0.3619 Y
0.0000 0.0000 0.6044 Mo
0.5000 0.5000 0.7646 Rh
```

Entry 3:
Structure and computed powder XRD pattern of TiMn (a structure optimized by DFT (PBE); Cu Kα, 1.54184 Å).
Kinematic intensities with the Lorentz-polarization factor, no thermal factor.

Largest 6 diffraction maxima, sorted by position, 10° ≤ 2θ ≤ 80°:
d = 2.188 Å, I = 27
d = 2.102 Å, I = 100
d = 2.050 Å, I = 23
d = 1.496 Å, I = 14
d = 1.477 Å, I = 7
d = 1.246 Å, I = 13

Crystal structure
```
TiMn
1.0
2.9542 0.0000 0.0000
0.0000 4.0995 0.0000
0.0000 0.0000 8.7508
Ti Mn
4 4
direct
0.0000 0.2500 0.1162 Ti
0.0000 0.7500 0.8838 Ti
0.5000 0.2500 0.3838 Ti
0.5000 0.7500 0.6162 Ti
0.0000 0.2500 0.6365 Mn
0.0000 0.7500 0.3635 Mn
0.5000 0.2500 0.8635 Mn
0.5000 0.7500 0.1365 Mn
```